Simulated X-ray diffraction stick pattern
Compound: LaZnFeCuO6
Radiation: Cu Kα, 1.54184 Å
Structure: a DFT-relaxed cell (GGA+U, Alexandria)
Intensities are scaled so that the largest is 100.

Atomic structure:
Cell lengths 5.175, 5.397, 9.536 Å; angles 90.00, 119.86, 90.00 degrees
Space group Pc (No. 7)
Symmetry-distinct sites (fractional):
La 0.000 0.213 0.000 (multiplicity 2)
Zn 0.426 0.290 0.487 (multiplicity 2)
Fe 0.719 0.256 0.247 (multiplicity 2)
Cu 0.241 0.250 0.751 (multiplicity 2)
O 0.050 0.487 0.816 (multiplicity 2)
O 0.085 0.035 0.303 (multiplicity 2)
O 0.392 0.495 0.676 (multiplicity 2)
O 0.442 0.045 0.674 (multiplicity 2)
O 0.584 0.280 0.026 (multiplicity 2)
O 0.782 0.234 0.458 (multiplicity 2)

Main lines, sorted by position (2θ from 10° to 90°):
Position (°2θ), I (rel.)
31.69, 100
32.92, 80
33.20, 36
34.72, 28
43.78, 25
48.80, 37
55.44, 14
56.03, 22
59.58, 15
61.84, 14